(1)
The following is a simulated powder diffractogram of Mg6AlHg. It was derived from DFT lattice parameters and positions (GGA-PBE), using Cu Kα, 1.54184 Å.
Peak positions follow from Bragg's law for the DFT cell and can differ from measured ones.

Crystal structure
```
data_Mg6AlHg
_symmetry_space_group_name_H-M 'P 1'
_symmetry_Int_Tables_number 1
_symmetry_space_group_name_Hall 'P 1'
_cell_length_a 4.3759
_cell_length_b 4.3759
_cell_length_c 8.8941
_cell_angle_alpha 90.00
_cell_angle_beta 90.00
_cell_angle_gamma 90.00
loop_
_atom_site_label
_atom_site_type_symbol
_atom_site_fract_x
_atom_site_fract_y
_atom_site_fract_z
Mg1 Mg 0.0000 0.0000 0.0000
Mg2 Mg 0.0000 0.0000 0.5000
Mg3 Mg 0.0000 0.5000 0.2448
Mg4 Mg 0.0000 0.5000 0.7552
Mg5 Mg 0.5000 0.0000 0.2448
Mg6 Mg 0.5000 0.0000 0.7552
Al1 Al 0.5000 0.5000 0.0000
Hg1 Hg 0.5000 0.5000 0.5000
```

Main lines, low angle first (10° ≤ 2θ ≤ 90°):
2θ/deg	Rel. int.
20.29	41
22.65	61
28.62	36
30.59	31
35.34	100
41.26	32

***

(2)
The following is a simulated powder diffractogram of Bi2SeF2. It was derived from DFT lattice parameters and positions (GGA-PBE), using Cu Kα, 1.54184 Å.
Peak positions follow from Bragg's law for the DFT cell and can differ from measured ones.

Crystal structure
```
data_Bi2SeF2
_symmetry_space_group_name_H-M 'P 1'
_symmetry_Int_Tables_number 1
_symmetry_space_group_name_Hall 'P 1'
_cell_length_a 7.3315
_cell_length_b 7.3315
_cell_length_c 7.3315
_cell_angle_alpha 122.52
_cell_angle_beta 122.52
_cell_angle_gamma 85.70
loop_
_atom_site_label
_atom_site_type_symbol
_atom_site_fract_x
_atom_site_fract_y
_atom_site_fract_z
Bi1 Bi 0.2595 0.0000 0.2595
Bi2 Bi 0.7405 0.0000 0.7405
Bi3 Bi 0.7500 0.5095 0.7595
Bi4 Bi 0.7500 0.9905 0.2405
Se1 Se 0.3002 0.8002 0.5000
Se2 Se 0.5502 0.5502 0.0000
F1 F 0.0318 0.2426 0.2108
F2 F 0.0318 0.8209 0.7892
F3 F 0.5709 0.2818 0.2892
F4 F 0.9926 0.2818 0.7108
```

Main lines, low angle first (10° ≤ 2θ ≤ 90°):
2θ/deg	Rel. int.
15.03	100
29.52	67
30.32	80
33.34	25
38.01	44
49.90	25

***

(3)
The following is a simulated powder diffractogram of Nd6ErHg5. It was derived from DFT lattice parameters and positions (GGA-PBE), using Cu Kα, 1.54184 Å.
Peak positions follow from Bragg's law for the DFT cell and can differ from measured ones.

Crystal structure
```
data_Nd6ErHg5
_symmetry_space_group_name_H-M 'P 1'
_symmetry_Int_Tables_number 1
_symmetry_space_group_name_Hall 'P 1'
_cell_length_a 9.4890
_cell_length_b 9.4890
_cell_length_c 9.4890
_cell_angle_alpha 147.12
_cell_angle_beta 131.14
_cell_angle_gamma 60.15
loop_
_atom_site_label
_atom_site_type_symbol
_atom_site_fract_x
_atom_site_fract_y
_atom_site_fract_z
Nd1 Nd 0.0731 0.3280 0.7450
Nd2 Nd 0.2287 0.0000 0.2287
Nd3 Nd 0.4170 0.6720 0.7450
Nd4 Nd 0.5830 0.3280 0.2550
Nd5 Nd 0.7713 0.0000 0.7713
Nd6 Nd 0.9269 0.6720 0.2550
Er1 Er 0.5000 0.5000 0.0000
Hg1 Hg 0.0000 0.5000 0.5000
Hg2 Hg 0.1692 0.1692 0.0000
Hg3 Hg 0.3517 0.8517 0.5000
Hg4 Hg 0.6483 0.1483 0.5000
Hg5 Hg 0.8308 0.8308 0.0000
```

Main lines, low angle first (10° ≤ 2θ ≤ 90°):
2θ/deg	Rel. int.
32.67	100
33.37	20
47.43	14
58.36	13
59.19	15
68.42	9

***

(4)
The following is a simulated powder diffractogram of LaAl9Cu2. It was derived from DFT lattice parameters and positions (GGA-PBE), using Cu Kα, 1.54184 Å.
Peak positions follow from Bragg's law for the DFT cell and can differ from measured ones.

Crystal structure
```
data_LaAl9Cu2
_symmetry_space_group_name_H-M 'P 1'
_symmetry_Int_Tables_number 1
_symmetry_space_group_name_Hall 'P 1'
_cell_length_a 8.4074
_cell_length_b 8.4074
_cell_length_c 8.4074
_cell_angle_alpha 100.37
_cell_angle_beta 100.37
_cell_angle_gamma 129.78
loop_
_atom_site_label
_atom_site_type_symbol
_atom_site_fract_x
_atom_site_fract_y
_atom_site_fract_z
La1 La 0.3750 0.6250 0.7500
La2 La 0.6250 0.3750 0.2500
Al1 Al 0.1250 0.8750 0.2500
Al2 Al 0.1355 0.5608 0.3276
Al3 Al 0.1355 0.8078 0.5747
Al4 Al 0.1922 0.2669 0.3276
Al5 Al 0.1922 0.8645 0.9253
Al6 Al 0.2669 0.1922 0.8276
Al7 Al 0.2669 0.4392 0.0747
Al8 Al 0.4392 0.2669 0.5747
Al9 Al 0.4392 0.8645 0.1724
Al10 Al 0.5608 0.1355 0.8276
Al11 Al 0.5608 0.7331 0.4253
Al12 Al 0.7331 0.5608 0.9253
Al13 Al 0.7331 0.8078 0.1724
Al14 Al 0.8078 0.1355 0.0747
Al15 Al 0.8078 0.7331 0.6724
Al16 Al 0.8645 0.1922 0.4253
Al17 Al 0.8645 0.4392 0.6724
Al18 Al 0.8750 0.1250 0.7500
Cu1 Cu 0.0000 0.0000 0.0000
Cu2 Cu 0.0000 0.0000 0.5000
Cu3 Cu 0.0000 0.5000 0.0000
Cu4 Cu 0.5000 0.0000 0.5000
```

Main lines, low angle first (10° ≤ 2θ ≤ 90°):
2θ/deg	Rel. int.
22.27	100
32.50	80
36.48	100
37.35	59
38.78	44
45.45	40

***

(5)
The following is a simulated powder diffractogram of AsHPdPb2. It was derived from DFT lattice parameters and positions (GGA-PBE), using Cu Kα, 1.54184 Å.
Peak positions follow from Bragg's law for the DFT cell and can differ from measured ones.

Crystal structure
```
data_AsHPdPb2
_symmetry_space_group_name_H-M 'P 1'
_symmetry_Int_Tables_number 1
_symmetry_space_group_name_Hall 'P 1'
_cell_length_a 5.6113
_cell_length_b 5.6113
_cell_length_c 3.3642
_cell_angle_alpha 90.00
_cell_angle_beta 90.00
_cell_angle_gamma 90.00
loop_
_atom_site_label
_atom_site_type_symbol
_atom_site_fract_x
_atom_site_fract_y
_atom_site_fract_z
As1 As 0.0000 0.0000 0.0000
H1 H 0.5000 0.5000 0.0000
Pd1 Pd 0.5000 0.5000 0.5000
Pb1 Pb 0.0000 0.5000 0.5000
Pb2 Pb 0.5000 0.0000 0.5000
```

Main lines, low angle first (10° ≤ 2θ ≤ 90°):
2θ/deg	Rel. int.
22.41	31
26.49	43
31.90	100
34.97	64
41.93	52
45.73	37

***

(6)
The following is a simulated powder diffractogram of Al2GeH2O6. It was derived from DFT lattice parameters and positions (GGA-PBE), using Cu Kα, 1.54184 Å.
Peak positions follow from Bragg's law for the DFT cell and can differ from measured ones.

Crystal structure
```
data_Al2GeH2O6
_symmetry_space_group_name_H-M 'P 1'
_symmetry_Int_Tables_number 1
_symmetry_space_group_name_Hall 'P 1'
_cell_length_a 5.0412
_cell_length_b 5.0412
_cell_length_c 9.0713
_cell_angle_alpha 96.30
_cell_angle_beta 96.30
_cell_angle_gamma 115.91
loop_
_atom_site_label
_atom_site_type_symbol
_atom_site_fract_x
_atom_site_fract_y
_atom_site_fract_z
Al1 Al 0.0568 0.7867 0.5862
Al2 Al 0.2133 0.9432 0.9138
Al3 Al 0.7867 0.0568 0.0862
Al4 Al 0.9432 0.2133 0.4138
Ge1 Ge 0.2192 0.7808 0.2500
Ge2 Ge 0.7808 0.2192 0.7500
H1 H 0.3313 0.5283 0.9525
H2 H 0.4717 0.6687 0.5475
H3 H 0.5283 0.3313 0.4525
H4 H 0.6687 0.4717 0.0475
O1 O 0.0187 0.8396 0.0903
O2 O 0.0697 0.3853 0.2369
O3 O 0.1604 0.9813 0.4097
O4 O 0.2538 0.5594 0.5370
O5 O 0.3853 0.0697 0.7369
O6 O 0.4406 0.7462 0.9630
O7 O 0.5594 0.2538 0.0370
O8 O 0.6147 0.9303 0.2631
O9 O 0.7462 0.4406 0.4630
O10 O 0.8396 0.0187 0.5903
O11 O 0.9303 0.6147 0.7631
O12 O 0.9813 0.1604 0.9097
```

Main lines, low angle first (10° ≤ 2θ ≤ 90°):
2θ/deg	Rel. int.
19.89	80
20.79	81
23.84	89
29.01	55
33.25	100
56.91	40

***

(7)
The following is a simulated powder diffractogram of Co4Ni3Ir2. It was derived from DFT lattice parameters and positions (GGA-PBE), using Cu Kα, 1.54184 Å.
Peak positions follow from Bragg's law for the DFT cell and can differ from measured ones.

Crystal structure
```
data_Co4Ni3Ir2
_symmetry_space_group_name_H-M 'P 1'
_symmetry_Int_Tables_number 1
_symmetry_space_group_name_Hall 'P 1'
_cell_length_a 5.0007
_cell_length_b 11.1285
_cell_length_c 3.9906
_cell_angle_alpha 90.00
_cell_angle_beta 90.00
_cell_angle_gamma 90.00
loop_
_atom_site_label
_atom_site_type_symbol
_atom_site_fract_x
_atom_site_fract_y
_atom_site_fract_z
Co1 Co 0.1155 0.2028 0.0000
Co2 Co 0.1340 0.8817 0.5000
Co3 Co 0.3660 0.3817 0.0000
Co4 Co 0.3845 0.7028 0.5000
Co5 Co 0.6155 0.2972 0.5000
Co6 Co 0.6340 0.6183 0.0000
Co7 Co 0.8660 0.1183 0.5000
Co8 Co 0.8845 0.7972 0.0000
Ni1 Ni 0.0000 0.0000 0.0000
Ni2 Ni 0.1185 0.3306 0.5000
Ni3 Ni 0.3815 0.8306 0.0000
Ni4 Ni 0.5000 0.5000 0.5000
Ni5 Ni 0.6185 0.1694 0.0000
Ni6 Ni 0.8815 0.6694 0.5000
Ir1 Ir 0.1515 0.5941 0.0000
Ir2 Ir 0.3485 0.0941 0.5000
Ir3 Ir 0.6515 0.9059 0.5000
Ir4 Ir 0.8485 0.4059 0.0000
```

Main lines, low angle first (10° ≤ 2θ ≤ 90°):
2θ/deg	Rel. int.
23.69	41
37.68	33
43.65	42
45.46	43
45.83	100
46.73	64

***

(8)
The following is a simulated powder diffractogram of Sm2GaRh. It was derived from DFT lattice parameters and positions (GGA-PBE), using Cu Kα, 1.54184 Å.
Peak positions follow from Bragg's law for the DFT cell and can differ from measured ones.

Crystal structure
```
data_Sm2GaRh
_symmetry_space_group_name_H-M 'P 1'
_symmetry_Int_Tables_number 1
_symmetry_space_group_name_Hall 'P 1'
_cell_length_a 6.0903
_cell_length_b 3.9417
_cell_length_c 8.5124
_cell_angle_alpha 90.00
_cell_angle_beta 109.25
_cell_angle_gamma 90.00
loop_
_atom_site_label
_atom_site_type_symbol
_atom_site_fract_x
_atom_site_fract_y
_atom_site_fract_z
Sm1 Sm 0.1922 0.2500 0.4093
Sm2 Sm 0.2742 0.7500 0.0561
Sm3 Sm 0.7258 0.2500 0.9439
Sm4 Sm 0.8078 0.7500 0.5907
Ga1 Ga 0.3578 0.7500 0.7110
Ga2 Ga 0.6422 0.2500 0.2890
Rh1 Rh 0.1174 0.2500 0.7919
Rh2 Rh 0.8826 0.7500 0.2081
```

Main lines, low angle first (10° ≤ 2θ ≤ 90°):
2θ/deg	Rel. int.
31.55	58
31.78	100
38.77	41
39.29	26
39.39	31
41.63	29

***

(9)
The following is a simulated powder diffractogram of Th2CdFe. It was derived from DFT lattice parameters and positions (GGA-PBE), using Cu Kα, 1.54184 Å.
Peak positions follow from Bragg's law for the DFT cell and can differ from measured ones.

Crystal structure
```
data_Th2CdFe
_symmetry_space_group_name_H-M 'P 1'
_symmetry_Int_Tables_number 1
_symmetry_space_group_name_Hall 'P 1'
_cell_length_a 13.9389
_cell_length_b 3.7043
_cell_length_c 7.8108
_cell_angle_alpha 90.00
_cell_angle_beta 96.05
_cell_angle_gamma 90.00
loop_
_atom_site_label
_atom_site_type_symbol
_atom_site_fract_x
_atom_site_fract_y
_atom_site_fract_z
Th1 Th 0.0487 0.0000 0.3044
Th2 Th 0.2271 0.0000 0.6902
Th3 Th 0.2729 0.5000 0.3098
Th4 Th 0.4513 0.5000 0.6956
Th5 Th 0.5487 0.5000 0.3044
Th6 Th 0.7271 0.5000 0.6902
Th7 Th 0.7729 0.0000 0.3098
Th8 Th 0.9513 0.0000 0.6956
Cd1 Cd 0.1084 0.5000 0.9601
Cd2 Cd 0.3916 0.0000 0.0399
Cd3 Cd 0.6084 0.0000 0.9601
Cd4 Cd 0.8916 0.5000 0.0399
Fe1 Fe 0.0975 0.5000 0.5799
Fe2 Fe 0.4025 0.0000 0.4201
Fe3 Fe 0.5975 0.0000 0.5799
Fe4 Fe 0.9025 0.5000 0.4201
```

Main lines, low angle first (10° ≤ 2θ ≤ 90°):
2θ/deg	Rel. int.
29.31	65
32.33	100
32.77	69
33.80	69
34.54	74
34.65	49

***

(10)
The following is a simulated powder diffractogram of ThSc3S6. It was derived from DFT lattice parameters and positions (GGA-PBE), using Cu Kα, 1.54184 Å.
Peak positions follow from Bragg's law for the DFT cell and can differ from measured ones.

Crystal structure
```
data_ThSc3S6
_symmetry_space_group_name_H-M 'P 1'
_symmetry_Int_Tables_number 1
_symmetry_space_group_name_Hall 'P 1'
_cell_length_a 10.6584
_cell_length_b 3.7920
_cell_length_c 10.8921
_cell_angle_alpha 90.00
_cell_angle_beta 109.02
_cell_angle_gamma 90.00
loop_
_atom_site_label
_atom_site_type_symbol
_atom_site_fract_x
_atom_site_fract_y
_atom_site_fract_z
Th1 Th 0.0529 0.2500 0.2021
Th2 Th 0.9471 0.7500 0.7979
Sc1 Sc 0.1610 0.2500 0.5863
Sc2 Sc 0.3244 0.7500 0.0008
Sc3 Sc 0.4428 0.2500 0.3377
Sc4 Sc 0.5572 0.7500 0.6623
Sc5 Sc 0.6756 0.2500 0.9992
Sc6 Sc 0.8390 0.7500 0.4137
S1 S 0.0821 0.7500 0.4126
S2 S 0.1236 0.2500 0.9668
S3 S 0.1994 0.7500 0.7516
S4 S 0.2717 0.7500 0.2323
S5 S 0.3900 0.2500 0.5565
S6 S 0.4783 0.2500 0.1143
S7 S 0.5217 0.7500 0.8857
S8 S 0.6100 0.7500 0.4435
S9 S 0.7283 0.2500 0.7677
S10 S 0.8006 0.2500 0.2484
S11 S 0.8764 0.7500 0.0332
S12 S 0.9179 0.2500 0.5874
```

Main lines, low angle first (10° ≤ 2θ ≤ 90°):
2θ/deg	Rel. int.
10.08	45
24.52	43
25.04	100
32.40	78
35.71	69
44.02	43

***

(11)
The following is a simulated powder diffractogram of Zr6AlNi2. It was derived from DFT lattice parameters and positions (GGA-PBE), using Cu Kα, 1.54184 Å.
Peak positions follow from Bragg's law for the DFT cell and can differ from measured ones.

Crystal structure
```
data_Zr6AlNi2
_symmetry_space_group_name_H-M 'P 1'
_symmetry_Int_Tables_number 1
_symmetry_space_group_name_Hall 'P 1'
_cell_length_a 7.1069
_cell_length_b 7.1069
_cell_length_c 4.0836
_cell_angle_alpha 90.00
_cell_angle_beta 90.00
_cell_angle_gamma 120.00
loop_
_atom_site_label
_atom_site_type_symbol
_atom_site_fract_x
_atom_site_fract_y
_atom_site_fract_z
Zr1 Zr 0.0000 0.2748 0.0000
Zr2 Zr 0.0000 0.5944 0.5000
Zr3 Zr 0.2748 0.0000 0.0000
Zr4 Zr 0.4056 0.4056 0.5000
Zr5 Zr 0.5944 0.0000 0.5000
Zr6 Zr 0.7252 0.7252 0.0000
Al1 Al 0.0000 0.0000 0.5000
Ni1 Ni 0.3333 0.6667 0.0000
Ni2 Ni 0.6667 0.3333 0.0000
```

Main lines, low angle first (10° ≤ 2θ ≤ 90°):
2θ/deg	Rel. int.
33.43	100
36.56	52
38.71	34
44.14	28
44.37	22
70.58	19

***

(12)
The following is a simulated powder diffractogram of RbEr4F12. It was derived from DFT lattice parameters and positions (GGA-PBE), using Cu Kα, 1.54184 Å.
Peak positions follow from Bragg's law for the DFT cell and can differ from measured ones.

Crystal structure
```
data_RbEr4F12
_symmetry_space_group_name_H-M 'P 1'
_symmetry_Int_Tables_number 1
_symmetry_space_group_name_Hall 'P 1'
_cell_length_a 7.5835
_cell_length_b 7.5835
_cell_length_c 7.5835
_cell_angle_alpha 109.48
_cell_angle_beta 109.47
_cell_angle_gamma 109.46
loop_
_atom_site_label
_atom_site_type_symbol
_atom_site_fract_x
_atom_site_fract_y
_atom_site_fract_z
Rb1 Rb 0.0000 0.0000 0.0000
Er1 Er 0.0000 0.0000 0.5000
Er2 Er 0.0000 0.5000 0.0000
Er3 Er 0.5000 0.0000 0.0000
Er4 Er 0.5000 0.5000 0.5000
F1 F 0.0026 0.7617 0.2409
F2 F 0.2387 0.2404 0.4790
F3 F 0.2387 0.7596 0.9983
F4 F 0.2407 0.0034 0.7627
F5 F 0.2407 0.4780 0.2373
F6 F 0.4792 0.2383 0.2409
F7 F 0.5208 0.7617 0.7591
F8 F 0.7593 0.5220 0.7627
F9 F 0.7593 0.9966 0.2373
F10 F 0.7613 0.2404 0.0017
F11 F 0.7613 0.7596 0.5210
F12 F 0.9974 0.2383 0.7591
```

Main lines, low angle first (10° ≤ 2θ ≤ 90°):
2θ/deg	Rel. int.
20.28	100
28.84	87
41.24	35
46.37	45
51.10	38
59.74	22